Record 1
This entry pairs a crystal structure of Sc5Re3 with its theoretical powder XRD pattern. Radiation: a wavelength of 1.5418 Å. Structure: DFT lattice parameters and positions (PBE).
Kinematic intensities with the Lorentz-polarization factor, no thermal factor.

Principal peaks in the range 2θ = 10–80°, by intensity:
two_theta  I_rel
26.22  100
37.42  77
25.00  76
38.65  72
38.16  61
38.41  61
23.41  43
25.22  33
37.92  32
49.91  28

Structural model:
```
Sc5Re3
1.0
2.634 -7.610 0.000
2.634 7.610 0.000
-2.554 0.000 7.591
Sc Re
10 6
direct
0.079 0.720 0.800
0.226 0.427 0.640
0.245 0.245 0.990
0.280 0.921 0.200
0.427 0.226 0.640
0.573 0.774 0.360
0.720 0.079 0.800
0.755 0.755 0.010
0.774 0.573 0.360
0.921 0.280 0.200
0.131 0.131 0.334
0.250 0.750 0.500
0.335 0.665 0.000
0.665 0.335 0.000
0.750 0.250 0.500
0.869 0.869 0.666
```

Record 2
This entry pairs a crystal structure of Se5Cl with its theoretical powder XRD pattern. Radiation: a wavelength of 1.5418 Å. Structure: DFT lattice parameters and positions (PBE).
Kinematic intensities with the Lorentz-polarization factor, no thermal factor.

Principal peaks in the range 2θ = 10–80°, by intensity:
two_theta  I_rel
20.33  100
35.86  53
36.39  49
40.10  16
51.62  16
10.46  14
47.56  13
46.27  13
56.06  12
31.71  11

Structural model:
```
Se5Cl
1.0
5.909 -1.770 0.000
5.909 1.770 0.000
-4.110 0.000 8.457
Se Cl
5 1
direct
0.000 0.000 0.000
0.004 0.004 0.586
0.333 0.333 0.914
0.387 0.387 0.388
0.700 0.700 0.680
0.699 0.699 0.183
```

Record 3
This entry pairs a crystal structure of PrAl2Au8 with its theoretical powder XRD pattern. Radiation: a wavelength of 1.5418 Å. Structure: DFT lattice parameters and positions (PBE).
Kinematic intensities with the Lorentz-polarization factor, no thermal factor.

Principal peaks in the range 2θ = 10–80°, by intensity:
two_theta  I_rel
38.80  100
31.50  66
22.08  59
45.15  41
33.41  33
50.80  27
79.05  26
46.56  25
65.72  23
66.77  20

Structural model:
```
PrAl2Au8
1.0
5.680 0.000 0.000
0.000 5.680 0.000
0.000 0.000 8.053
Pr Al Au
1 2 8
direct
0.000 0.000 0.000
0.000 0.500 0.500
0.500 0.000 0.500
0.255 0.255 0.289
0.255 0.255 0.711
0.255 0.745 0.289
0.255 0.745 0.711
0.745 0.255 0.289
0.745 0.255 0.711
0.745 0.745 0.289
0.745 0.745 0.711
```